Theoretical powder XRD pattern of TlSe3 for Cu Kα, from the GGA-PBE geometry in Alexandria.
No peak broadening, texture or thermal motion is included.

Structure:
```
data_TlSe3
_chemical_formula_sum 'Tl4 Se12'
_space_group_name_H-M_alt 'A e a 2'
_space_group_IT_number 41
_space_group_name_Hall 'A 2 -2ab'
_cell_length_a 8.0700
_cell_length_b 8.1242
_cell_length_c 7.5220
_cell_angle_alpha 90.00
_cell_angle_beta 90.00
_cell_angle_gamma 90.00
loop_
_atom_site_label
_atom_site_type_symbol
_atom_site_fract_x
_atom_site_fract_y
_atom_site_fract_z
_atom_site_occupancy
Tl1 Tl 0.0000 0.0000 0.0000 1
Se1 Se 0.0000 0.0000 0.4688 1
Se2 Se 0.1591 0.1729 0.6509 1
```

The 8 most intense peaks (10° ≤ 2θ ≤ 80°), most intense first:
2θ/deg  I (rel.)
31.24  1000
32.44  946
32.55  853
39.56  721
23.66  643
19.48  585
22.03  535
27.38  470